# 1
# HoSbPd2
Theoretical powder XRD pattern, Cu Kα, 1.54184 Å. Input: a DFT-relaxed cell (GGA-PBE, the Materials Project).
Kinematic intensities with the Lorentz-polarization factor, no thermal factor.

The 9 most intense peaks (2θ = 10–90°), by intensity:
| d [Å] | Rel. int. |
| --- | --- |
| 2.405 | 100 |
| 1.389 | 35 |
| 1.701 | 17 |
| 1.203 | 11 |
| 3.402 | 2 |
| 3.928 | 2 |
| 1.521 | 1 |
| 2.051 | 1 |
| 1.964 | 1 |

Structure:
```
HoSbPd2
1.0
0.000 3.402 3.402
3.402 0.000 3.402
3.402 3.402 0.000
Ho Sb Pd
1 1 2
direct
0.000 0.000 0.000
0.500 0.500 0.500
0.250 0.250 0.250
0.750 0.750 0.750
```


# 2
# Ho2SiPd2
Theoretical powder XRD pattern, Cu Kα, 1.54184 Å. Input: a DFT-relaxed cell (GGA-PBE, the Materials Project).
Kinematic intensities with the Lorentz-polarization factor, no thermal factor.

The 10 most intense peaks (2θ = 10–90°), by intensity:
| d [Å] | Rel. int. |
| --- | --- |
| 2.499 | 100 |
| 2.543 | 49 |
| 2.145 | 41 |
| 2.582 | 37 |
| 3.626 | 36 |
| 2.068 | 29 |
| 1.605 | 24 |
| 1.374 | 20 |
| 2.201 | 18 |
| 2.358 | 16 |

Structure:
```
Ho2SiPd2
1.0
7.527 0.000 0.000
0.000 13.803 0.000
0.000 0.000 4.137
Ho Si Pd
8 4 8
direct
0.039 0.126 0.000
0.050 0.631 0.000
0.450 0.131 0.500
0.461 0.626 0.500
0.539 0.374 0.500
0.550 0.869 0.500
0.950 0.369 0.000
0.961 0.874 0.000
0.153 0.472 0.500
0.347 0.972 0.000
0.653 0.028 0.000
0.847 0.528 0.500
0.172 0.281 0.500
0.179 0.983 0.500
0.321 0.483 0.000
0.328 0.781 0.000
0.672 0.219 0.000
0.679 0.517 0.000
0.821 0.017 0.500
0.828 0.719 0.500
```